Diffraction record for Mg3Bi2As2O12. The X-ray diffraction stick pattern is simulated, not measured: it uses a crystal structure in the Materials Project, relaxed with GGA-PBE and Cu Kα X-rays.
Peak positions follow from Bragg's law for the DFT cell and can differ from measured ones.

Largest 10 diffraction maxima, in order of rising 2θ, 2θ = 10–90°:
| 2theta | d [Å] | I_rel | hkl |
| --- | --- | --- | --- |
| 12.98 | 6.819 | 60 | 0 0 1 |
| 13.23 | 6.690 | 71 | 1 0 0 |
| 21.49 | 4.135 | 97 | 1 1 -1 |
| 22.22 | 4.000 | 79 | 1 0 1 |
| 28.84 | 3.096 | 100 | 1 1 -2 |
| 29.19 | 3.059 | 96 | 2 1 -1 |
| 30.89 | 2.895 | 81 | 0 1 2 |
| 31.33 | 2.855 | 77 | 2 1 0 |
| 32.67 | 2.741 | 40 | 0 2 0 |
| 50.35 | 1.812 | 57 | 4 0 -1 |

Structural model:
Lattice parameters (Å, degrees): 7.3922 5.4822 7.5345 90.00 115.17 90.00
Space group Pm (No. 6)
Asymmetric unit:
Mg (0.0000, 0.0000, 0.0000) (multiplicity 1)
Mg (0.1700, 0.5000, 0.8062) (multiplicity 1)
Mg (0.5557, 0.5000, 0.1963) (multiplicity 1)
Bi (0.6812, 0.5000, 0.6874) (multiplicity 1)
Bi (0.8707, 0.0000, 0.5084) (multiplicity 1)
As (0.0772, 0.5000, 0.2927) (multiplicity 1)
As (0.4760, 0.0000, 0.9027) (multiplicity 1)
O (0.1565, 0.2546, 0.2037) (multiplicity 2)
O (0.1841, 0.5000, 0.5447) (multiplicity 1)
O (0.3676, 0.0000, 0.6507) (multiplicity 1)
O (0.3936, 0.2600, 0.9762) (multiplicity 2)
O (0.6228, 0.2667, 0.4277) (multiplicity 2)
O (0.7298, 0.0000, 0.0046) (multiplicity 1)
O (0.8221, 0.5000, 0.1968) (multiplicity 1)
O (0.9471, 0.2491, 0.7692) (multiplicity 2)